[1]
Starting from DFT lattice parameters and positions (GGA-PBE), the powder diffractogram of PrSm7Tm12 was calculated for copper Kα.
Peak positions follow from Bragg's law for the DFT cell and can differ from measured ones.

Principal peaks in the range 2θ = 5–70°, in order of falling intensity:
d_spacing  two_theta  intensity
2.802  31.94  100
3.000  29.78  71
2.894  30.90  45
2.134  42.36  35
2.278  39.56  32
3.244  27.50  21
1.653  55.59  19
3.695  24.08  16
1.930  47.09  15
1.776  51.44  15

a = 8.6684 Å, b = 8.6684 Å, c = 8.6684 Å
α = 95.26°, β = 95.26°, γ = 95.26°
Sites, in units of the cell vectors:
Pr: 0.0000 0.0000 0.0000
Sm: 0.0183 0.3555 0.0847
Sm: 0.0847 0.0183 0.3555
Sm: 0.3555 0.0847 0.0183
Sm: 0.5000 0.5000 0.5000
Sm: 0.6445 0.9153 0.9817
Sm: 0.9153 0.9817 0.6445
Sm: 0.9817 0.6445 0.9153
Tm: 0.1473 0.4828 0.4168
Tm: 0.1877 0.3196 0.7473
Tm: 0.2527 0.8123 0.6804
Tm: 0.3196 0.7473 0.1877
Tm: 0.4168 0.1473 0.4828
Tm: 0.4828 0.4168 0.1473
Tm: 0.5172 0.5832 0.8527
Tm: 0.5832 0.8527 0.5172
Tm: 0.6804 0.2527 0.8123
Tm: 0.7473 0.1877 0.3196
Tm: 0.8123 0.6804 0.2527
Tm: 0.8527 0.5172 0.5832

***

[2]
Starting from DFT lattice parameters and positions (GGA-PBE), the powder diffractogram of CoIrS was calculated for copper Kα.
Peak positions follow from Bragg's law for the DFT cell and can differ from measured ones.

Principal peaks in the range 2θ = 5–70°, in order of falling intensity:
d_spacing  two_theta  intensity
7.790  11.36  100
2.273  39.65  36
2.237  40.31  24
2.326  38.72  24
2.886  30.98  23
1.934  46.98  21
2.493  36.03  19
1.833  49.75  17
1.986  45.68  16
2.281  39.51  14

a = 3.7018 Å, b = 2.8994 Å, c = 7.8740 Å
α = 90.00°, β = 98.39°, γ = 90.00°
Sites, in units of the cell vectors:
Co: 0.0000 0.0000 0.0000
Co: 0.2875 0.5000 0.2749
Ir: 0.4623 0.5000 0.8497
Ir: 0.9222 0.0000 0.6702
S: 0.3539 0.0000 0.4769
S: 0.7424 0.5000 0.1392

***

[3]
Starting from DFT lattice parameters and positions (GGA-PBE), the powder diffractogram of MgGaAg2F6 was calculated for copper Kα.
Peak positions follow from Bragg's law for the DFT cell and can differ from measured ones.

Principal peaks in the range 2θ = 5–70°, in order of falling intensity:
d_spacing  two_theta  intensity
2.852  31.37  100
2.017  44.95  42
1.647  55.83  38
2.329  38.67  27
1.426  65.45  24
4.033  22.04  11
4.657  19.06  7
1.804  50.61  5
2.432  36.96  3
1.345  69.95  1

a = 5.7006 Å, b = 5.7003 Å, c = 9.8860 Å
α = 90.00°, β = 125.22°, γ = 90.00°
Sites, in units of the cell vectors:
Mg: 0.0000 0.0000 0.0000
Mg: 0.0000 0.5000 0.5000
Ga: 0.5000 0.0000 0.5000
Ga: 0.5000 0.5000 0.0000
Ag: 0.2502 0.0005 0.7500
Ag: 0.2502 0.4995 0.2500
Ag: 0.7498 0.5005 0.7500
Ag: 0.7498 0.9995 0.2500
F: 0.2435 0.0001 0.2550
F: 0.2435 0.4999 0.7550
F: 0.2558 0.7403 0.0056
F: 0.2558 0.7597 0.5056
F: 0.2654 0.2502 0.0057
F: 0.2654 0.2498 0.5057
F: 0.7346 0.7502 0.4943
F: 0.7346 0.7498 0.9943
F: 0.7442 0.2403 0.4944
F: 0.7442 0.2597 0.9944
F: 0.7565 0.9999 0.7450
F: 0.7565 0.5001 0.2450

***

[4]
Starting from DFT lattice parameters and positions (GGA-PBE), the powder diffractogram of BaDyTm4Se8 was calculated for copper Kα.
Peak positions follow from Bragg's law for the DFT cell and can differ from measured ones.

Principal peaks in the range 2θ = 5–70°, in order of falling intensity:
d_spacing  two_theta  intensity
3.642  24.44  100
3.017  29.61  73
2.129  42.46  69
2.138  42.26  69
2.324  38.74  57
4.268  20.81  38
3.632  24.51  34
6.971  12.70  29
2.319  38.83  23
1.569  58.85  22

a = 8.5541 Å, b = 8.5541 Å, c = 8.5541 Å
α = 59.70°, β = 59.70°, γ = 59.70°
Sites, in units of the cell vectors:
Ba: 0.0000 0.0000 0.0000
Dy: 0.3717 0.3717 0.3717
Tm: 0.3722 0.3722 0.8784
Tm: 0.3722 0.8784 0.3722
Tm: 0.7485 0.7485 0.7485
Tm: 0.8784 0.3722 0.3722
Se: 0.1391 0.1391 0.5710
Se: 0.1391 0.5710 0.1391
Se: 0.1422 0.1422 0.1422
Se: 0.1441 0.6184 0.6184
Se: 0.5710 0.1391 0.1391
Se: 0.6164 0.6164 0.6164
Se: 0.6184 0.1441 0.6184
Se: 0.6184 0.6184 0.1441